# KLaDyFeO6
Calculated powder X-ray diffraction pattern, Cu Kα (weighted mean of Kα1 and Kα2). Input: a cell relaxed with PBE+U.
Kinematic intensities with the Lorentz-polarization factor, no thermal factor.

Largest 12 diffraction maxima, by angle, 2θ = 15–90°:
hkl 1 1 1, 18.9 deg, intensity 28; hkl 2 0 0, 21.9 deg, intensity 6; hkl 2 2 0, 31.2 deg, intensity 100; hkl 3 1 1, 36.7 deg, intensity 20; hkl 4 0 0, 44.7 deg, intensity 32; hkl 3 3 1, 48.9 deg, intensity 10; hkl 4 2 2, 55.5 deg, intensity 38; hkl 3 3 3, 59.2 deg, intensity 6; hkl 4 4 0, 65.0 deg, intensity 19; hkl 5 3 1, 68.4 deg, intensity 6; hkl 6 2 0, 73.9 deg, intensity 17; hkl 4 4 4, 82.4 deg, intensity 6

Structure:
```
data_KLaDyFeO6
_space_group_name_H-M_alt 'F -4 3 m'
_space_group_IT_number 216
_space_group_name_Hall 'F -4 2 3'
_cell_length_a 8.113
_cell_length_b 8.113
_cell_length_c 8.113
_cell_angle_alpha 90.00
_cell_angle_beta 90.00
_cell_angle_gamma 90.00
loop_
_atom_site_label
_atom_site_fract_x
_atom_site_fract_y
_atom_site_fract_z
K1 0.000 0.000 0.000
La1 0.000 0.000 0.500
Dy1 0.250 0.250 0.250
Fe1 0.250 0.250 0.750
O1 0.019 0.250 0.750
```